The following is a calculated powder XRD pattern of SrLiPtF6. It was derived from a DFT-relaxed cell (PBE, Alexandria), using Cu Kα (weighted mean of Kα1 and Kα2).

Crystal structure
```
SrLiPtF6
1.0
5.421 0.000 0.000
-2.710 4.695 0.000
0.000 0.000 5.297
Sr Li Pt F
1 1 1 6
direct
0.000 0.000 0.000 Sr
0.333 0.667 0.500 Li
0.667 0.333 0.500 Pt
0.002 0.358 0.716 F
0.002 0.643 0.284 F
0.357 0.358 0.284 F
0.357 0.998 0.716 F
0.642 0.643 0.716 F
0.642 0.998 0.284 F
```

Largest 6 diffraction maxima, by intensity, 5 to 70 degrees two-theta:
2theta	I (rel.)	(hkl)
25.35	100	1 0 1
18.90	42	1 0 0
48.03	33	2 -1 2
42.11	25	2 0 1
54.54	25	3 -1 1
33.05	21	1 1 0